Structure and simulated X-ray powder pattern of Co3O2F4 (DFT lattice parameters and positions (PBE+U); copper Kα).
Intensities are scaled so that the largest is 100.

Crystal structure
Unit cell a=4.625 b=4.636 c=10.399 alpha=90.00 beta=116.06 gamma=90.00
Space group P2_1/c (No. 14)
Asymmetric unit:
Co  0.000  0.000  0.000 (multiplicity 2)
Co  0.285  0.037  0.326 (multiplicity 4)
O  0.032  0.186  0.833 (multiplicity 4)
F  0.307  0.691  0.000 (multiplicity 4)
F  0.380  0.223  0.169 (multiplicity 4)

Largest 12 diffraction maxima, in order of rising 2θ, 10° ≤ 2θ ≤ 90°:
2θ = 27.24°, 3.274 Å, I 100.0, (1 1 -1); 2θ = 34.68°, 2.587 Å, I 46.4, (0 1 3); 2θ = 34.83°, 2.576 Å, I 16.1, (1 0 -4); 2θ = 38.90°, 2.315 Å, I 7.2, (0 2 0); 2θ = 39.87°, 2.261 Å, I 11.6, (1 1 2); 2θ = 40.05°, 2.251 Å, I 11.4, (1 1 -4); 2θ = 53.01°, 1.728 Å, I 27.2, (1 2 2); 2θ = 53.16°, 1.723 Å, I 15.3, (1 2 -4); 2θ = 53.29°, 1.719 Å, I 15.4, (2 1 -5); 2θ = 56.19°, 1.637 Å, I 16.6, (2 2 -2); 2θ = 59.36°, 1.557 Å, I 10.6, (0 0 6); 2θ = 67.67°, 1.384 Å, I 13.2, (0 3 3)